Diffraction record for Li9Co7O16. The powder diffraction line list is theoretical, not measured: it uses a structure optimized by DFT (PBE+U) and Cu Kα (weighted mean of Kα1 and Kα2).
Lines closer than 0.1° are merged.

Most intense lines, 2θ = 15–90°, by intensity:
18.39 deg, intensity 100
43.76 deg, intensity 80
36.20 deg, intensity 27
36.09 deg, intensity 14
57.61 deg, intensity 10
63.03 deg, intensity 7
63.45 deg, intensity 7
63.95 deg, intensity 7
63.77 deg, intensity 7
63.29 deg, intensity 7
64.15 deg, intensity 7
47.64 deg, intensity 5

Atomic structure:
Unit cell a=5.0298 b=5.8378 c=9.7883 alpha=90.15 beta=99.63 gamma=90.18
Atoms (fractional coordinates):
1 Li 0.0000 0.0000 0.0000
2 Li 0.2426 0.0013 0.7547
3 Li 0.2484 0.2445 0.2450
4 Li 0.2488 0.4974 0.7522
5 Li 0.2512 0.7530 0.2441
6 Li 0.7488 0.2470 0.7559
7 Li 0.7512 0.5026 0.2478
8 Li 0.7516 0.7555 0.7550
9 Li 0.7574 0.9987 0.2453
10 Co 0.0000 0.5000 0.0000
11 Co 0.0031 0.2484 0.5017
12 Co 0.4982 0.7555 0.9994
13 Co 0.5000 0.0000 0.5000
14 Co 0.5000 0.5000 0.5000
15 Co 0.5018 0.2445 0.0006
16 Co 0.9969 0.7516 0.4983
17 O 0.1214 0.9908 0.3818
18 O 0.1347 0.7274 0.8909
19 O 0.1360 0.2714 0.8922
20 O 0.1390 0.4889 0.3898
21 O 0.3539 0.5062 0.1103
22 O 0.3740 0.7307 0.6118
23 O 0.3758 0.2304 0.6200
24 O 0.3986 0.0069 0.1177
25 O 0.6014 0.9931 0.8823
26 O 0.6242 0.7696 0.3800
27 O 0.6260 0.2693 0.3882
28 O 0.6461 0.4938 0.8897
29 O 0.8610 0.5111 0.6102
30 O 0.8640 0.7286 0.1078
31 O 0.8653 0.2726 0.1091
32 O 0.8786 0.0092 0.6182



Diffraction record for Zn2W3O8. The powder diffraction line list is theoretical, not measured: it uses a structure optimized by DFT (PBE+U) and Cu Kα (weighted mean of Kα1 and Kα2).
Lines closer than 0.1° are merged.

Most intense lines, 2θ = 15–90°, by intensity:
16.31 deg, intensity 100
35.86 deg, intensity 53
28.91 deg, intensity 41
36.10 deg, intensity 27
17.08 deg, intensity 24
42.34 deg, intensity 23
36.75 deg, intensity 22
44.66 deg, intensity 21
57.24 deg, intensity 20
54.02 deg, intensity 19
29.72 deg, intensity 16
64.17 deg, intensity 15

Atomic structure:
Unit cell a=6.4787 b=6.4787 c=5.0037 alpha=107.30 beta=107.30 gamma=54.28
Atoms (fractional coordinates):
1 Zn 0.1870 0.1870 0.1379
2 Zn 0.8130 0.8130 0.8621
3 W 0.2715 0.7285 0.5000
4 W 0.5000 0.5000 0.0000
5 W 0.7285 0.2715 0.5000
6 O 0.0973 0.0973 0.7232
7 O 0.1466 0.6344 0.7385
8 O 0.3656 0.8534 0.2615
9 O 0.3676 0.3676 0.2353
10 O 0.6324 0.6324 0.7647
11 O 0.6344 0.1466 0.7385
12 O 0.8534 0.3656 0.2615
13 O 0.9027 0.9027 0.2768



Diffraction record for Mg4V5Te3O18. The powder diffraction line list is theoretical, not measured: it uses a structure optimized by DFT (PBE+U) and Cu Kα (weighted mean of Kα1 and Kα2).
Lines closer than 0.1° are merged.

Most intense lines, 2θ = 15–90°, by intensity:
20.40 deg, intensity 100
34.30 deg, intensity 61
33.89 deg, intensity 59
28.91 deg, intensity 56
60.06 deg, intensity 36
28.16 deg, intensity 35
21.42 deg, intensity 35
54.16 deg, intensity 35
19.74 deg, intensity 33
46.83 deg, intensity 26
52.82 deg, intensity 26
39.09 deg, intensity 22

Atomic structure:
Unit cell a=8.7528 b=8.7528 c=10.6694 alpha=94.23 beta=94.23 gamma=63.79
Atoms (fractional coordinates):
1 Mg 0.1338 0.8173 0.9737
2 Mg 0.1491 0.4348 0.0734
3 Mg 0.1827 0.8662 0.5263
4 Mg 0.4348 0.1491 0.5734
5 Mg 0.5652 0.8509 0.4266
6 Mg 0.8173 0.1338 0.4737
7 Mg 0.8509 0.5652 0.9266
8 Mg 0.8662 0.1827 0.0263
9 V 0.0265 0.6441 0.4500
10 V 0.1957 0.5090 0.7318
11 V 0.3320 0.6680 0.2500
12 V 0.3559 0.9735 0.0500
13 V 0.4910 0.8043 0.7682
14 V 0.5090 0.1957 0.2318
15 V 0.6441 0.0265 0.9500
16 V 0.6680 0.3320 0.7500
17 V 0.8043 0.4910 0.2682
18 V 0.9735 0.3559 0.5500
19 Te 0.1540 0.1587 0.8022
20 Te 0.1587 0.1540 0.3022
21 Te 0.5000 0.5000 0.0000
22 Te 0.5000 0.5000 0.5000
23 Te 0.8413 0.8460 0.6978
24 Te 0.8460 0.8413 0.1978
25 O 0.0518 0.4013 0.3805
26 O 0.0607 0.1119 0.4610
27 O 0.0691 0.7300 0.8117
28 O 0.0993 0.4118 0.8873
29 O 0.1119 0.0607 0.9610
30 O 0.1187 0.7287 0.3315
31 O 0.2121 0.2867 0.6490
32 O 0.2480 0.5883 0.5685
33 O 0.2560 0.5945 0.0754
34 O 0.2700 0.9309 0.6883
35 O 0.2713 0.8813 0.1685
36 O 0.2867 0.2121 0.1490
37 O 0.4013 0.0518 0.8805
38 O 0.4055 0.7440 0.4246
39 O 0.4118 0.0993 0.3873
40 O 0.4117 0.7520 0.9315
41 O 0.4255 0.4312 0.3203
42 O 0.4312 0.4255 0.8203
43 O 0.5688 0.5745 0.1797
44 O 0.5745 0.5688 0.6797
45 O 0.5883 0.2480 0.0685
46 O 0.5882 0.9007 0.6127
47 O 0.5945 0.2560 0.5754
48 O 0.5987 0.9482 0.1195
49 O 0.7133 0.7879 0.8510
50 O 0.7287 0.1187 0.8315
51 O 0.7300 0.0691 0.3117
52 O 0.7440 0.4055 0.9246
53 O 0.7520 0.4117 0.4315
54 O 0.7879 0.7133 0.3510
55 O 0.8813 0.2713 0.6685
56 O 0.8881 0.9393 0.0390
57 O 0.9007 0.5882 0.1127
58 O 0.9309 0.2700 0.1883
59 O 0.9393 0.8881 0.5390
60 O 0.9482 0.5987 0.6195



Diffraction record for NaNdW2O8. The powder diffraction line list is theoretical, not measured: it uses a structure optimized by DFT (PBE+U) and Cu Kα (weighted mean of Kα1 and Kα2).
Lines closer than 0.1° are merged.

Most intense lines, 2θ = 15–90°, by intensity:
28.06 deg, intensity 100
46.01 deg, intensity 30
18.19 deg, intensity 30
56.40 deg, intensity 28
33.34 deg, intensity 22
74.24 deg, intensity 20
53.08 deg, intensity 17
30.79 deg, intensity 14
47.87 deg, intensity 13
58.00 deg, intensity 12
87.91 deg, intensity 12
28.41 deg, intensity 11

Atomic structure:
Unit cell a=6.9417 b=6.9417 c=6.9417 alpha=134.45 beta=134.45 gamma=66.39
Atoms (fractional coordinates):
1 Na 0.0000 0.0000 0.0000
2 Nd 0.2500 0.7500 0.5000
3 W 0.5000 0.5000 0.0000
4 W 0.7500 0.2500 0.5000
5 O 0.2679 0.6521 0.0971
6 O 0.3479 0.4450 0.6158
7 O 0.4245 0.0108 0.1012
8 O 0.5550 0.1708 0.9029
9 O 0.6767 0.5755 0.5863
10 O 0.8292 0.7321 0.3842
11 O 0.9096 0.3233 0.8988
12 O 0.9892 0.0904 0.4137



Diffraction record for KSmMo2O8. The powder diffraction line list is theoretical, not measured: it uses a structure optimized by DFT (PBE+U) and Cu Kα (weighted mean of Kα1 and Kα2).
Lines closer than 0.1° are merged.

Most intense lines, 2θ = 15–90°, by intensity:
27.94 deg, intensity 100
29.52 deg, intensity 51
22.29 deg, intensity 46
28.89 deg, intensity 40
45.52 deg, intensity 37
52.55 deg, intensity 18
50.82 deg, intensity 18
53.65 deg, intensity 17
57.74 deg, intensity 14
34.40 deg, intensity 12
43.74 deg, intensity 12
36.23 deg, intensity 10

Atomic structure:
Unit cell a=5.2142 b=18.5804 c=8.2792 alpha=90.00 beta=90.00 gamma=90.00
Atoms (fractional coordinates):
1 K 0.0000 0.2301 0.2500
2 K 0.0000 0.7699 0.7500
3 K 0.5000 0.2699 0.7500
4 K 0.5000 0.7301 0.2500
5 Sm 0.0000 0.0065 0.7500
6 Sm 0.0000 0.9935 0.2500
7 Sm 0.5000 0.4935 0.2500
8 Sm 0.5000 0.5065 0.7500
9 Mo 0.0232 0.3986 0.5162
10 Mo 0.0232 0.6014 0.0162
11 Mo 0.4768 0.1014 0.0162
12 Mo 0.4768 0.8986 0.5162
13 Mo 0.5232 0.1014 0.4838
14 Mo 0.5232 0.8986 0.9838
15 Mo 0.9768 0.3986 0.9838
16 Mo 0.9768 0.6014 0.4838
17 O 0.1023 0.3109 0.9754
18 O 0.1023 0.6891 0.4754
19 O 0.2263 0.4000 0.3409
20 O 0.2263 0.6000 0.8409
21 O 0.2415 0.4068 0.6868
22 O 0.2415 0.5932 0.1868
23 O 0.2466 0.4643 0.0030
24 O 0.2466 0.5357 0.5030
25 O 0.2534 0.0357 0.5030
26 O 0.2534 0.9643 0.0030
27 O 0.2585 0.0932 0.1868
28 O 0.2585 0.9068 0.6868
29 O 0.2737 0.1000 0.8409
30 O 0.2737 0.9000 0.3409
31 O 0.3977 0.1891 0.4754
32 O 0.3977 0.8109 0.9754
33 O 0.6023 0.1891 0.0246
34 O 0.6023 0.8109 0.5246
35 O 0.7263 0.1000 0.6591
36 O 0.7263 0.9000 0.1591
37 O 0.7415 0.0932 0.3132
38 O 0.7415 0.9068 0.8132
39 O 0.7466 0.0357 0.9970
40 O 0.7466 0.9643 0.4970
41 O 0.7534 0.4643 0.4970
42 O 0.7534 0.5357 0.9970
43 O 0.7585 0.4068 0.8132
44 O 0.7585 0.5932 0.3132
45 O 0.7737 0.4000 0.1591
46 O 0.7737 0.6000 0.6591
47 O 0.8977 0.3109 0.5246
48 O 0.8977 0.6891 0.0246